(1)
Diffraction record for Mn2NbNi6. The X-ray powder pattern is calculated, not measured: it uses a crystal structure in Alexandria, relaxed with PBE and Cu Kα.

Principal peaks in the range 2θ = 10–80°, in order of rising 2θ:
d 4.279, 20.76 deg, I 17, hkl 1 0 0; d 2.350, 38.30 deg, I 52, hkl 1 0 2; d 2.262, 39.86 deg, I 54, hkl 1 1 1; d 2.000, 45.35 deg, I 100, hkl 0 2 1; d 1.875, 48.57 deg, I 15, hkl 0 0 3; d 1.856, 49.09 deg, I 13, hkl 1 1 2; d 1.717, 53.36 deg, I 14, hkl 1 0 3; d 1.703, 53.84 deg, I 29, hkl 2 0 2; d 1.235, 77.24 deg, I 21, hkl 2 2 0; d 1.225, 78.04 deg, I 16, hkl 2 1 3

Atomic structure:
```
data_Mn2NbNi6
_chemical_formula_sum 'Mn2 Nb1 Ni6'
_symmetry_space_group_name_H-M 'P -3 m 1'
_symmetry_Int_Tables_number 164
_symmetry_space_group_name_Hall '-P 3 2"'
_cell_length_a 4.9407
_cell_length_b 4.9407
_cell_length_c 5.6239
_cell_angle_alpha 90.00
_cell_angle_beta 90.00
_cell_angle_gamma 120.00
loop_
_atom_site_label
_atom_site_fract_x
_atom_site_fract_y
_atom_site_fract_z
Mn1 0.3333 0.6667 0.3745
Nb1 0.0000 0.0000 0.5000
Ni1 0.1754 0.3509 0.8310
```


(2)
Diffraction record for TcNiGe4. The X-ray powder pattern is calculated, not measured: it uses a crystal structure in Alexandria, relaxed with PBE and Cu Kα.

Principal peaks in the range 2θ = 10–80°, in order of rising 2θ:
d 4.629, 19.17 deg, I 29, hkl 0 1 1; d 3.275, 27.23 deg, I 33, hkl 1 1 1; d 2.654, 33.78 deg, I 23, hkl 1 1 2; d 2.317, 38.87 deg, I 22, hkl 2 0 0; d 2.149, 42.05 deg, I 18, hkl 2 1 0; d 2.116, 42.73 deg, I 17, hkl 1 1 3; d 2.071, 43.71 deg, I 100, hkl 1 2 2; d 1.960, 46.31 deg, I 22, hkl 0 0 4; d 1.449, 64.31 deg, I 15, hkl 2 1 4; d 1.394, 67.14 deg, I 11, hkl 3 1 2

Atomic structure:
```
data_TcNiGe4
_chemical_formula_sum 'Tc2 Ni2 Ge8'
_symmetry_space_group_name_H-M 'P n c 2'
_symmetry_Int_Tables_number 30
_symmetry_space_group_name_Hall 'P 2 -2bc'
_cell_length_a 4.635
_cell_length_b 5.735
_cell_length_c 7.841
_cell_angle_alpha 90.00
_cell_angle_beta 90.00
_cell_angle_gamma 90.00
loop_
_atom_site_label
_atom_site_fract_x
_atom_site_fract_y
_atom_site_fract_z
Tc1 0.000 0.000 0.000
Ni1 0.500 0.000 0.208
Ge1 0.105 0.237 0.744
Ge2 0.443 0.727 0.976
```


(3)
Diffraction record for Er8FePd2. The X-ray powder pattern is calculated, not measured: it uses a crystal structure in Alexandria, relaxed with PBE and Cu Kα.

Principal peaks in the range 2θ = 10–80°, in order of rising 2θ:
d 3.244, 27.50 deg, I 29, hkl 2 2 0; d 2.906, 30.77 deg, I 59, hkl 1 1 -2; d 2.840, 31.50 deg, I 88, hkl 1 3 1; d 2.779, 32.22 deg, I 48, hkl 0 4 1; d 2.654, 33.77 deg, I 100, hkl 2 0 1; d 2.566, 34.97 deg, I 28, hkl 2 2 -2; d 2.527, 35.52 deg, I 31, hkl 0 2 2; d 2.445, 36.75 deg, I 30, hkl 2 4 0; d 2.340, 38.47 deg, I 65, hkl 1 5 -1; d 2.293, 39.30 deg, I 24, hkl 3 3 -1

Atomic structure:
```
data_Er8FePd2
_chemical_formula_sum 'Er16 Fe2 Pd4'
_symmetry_space_group_name_H-M 'C 1 m 1'
_symmetry_Int_Tables_number 8
_symmetry_space_group_name_Hall 'C -2y'
_cell_length_a 8.155
_cell_length_b 12.882
_cell_length_c 5.968
_cell_angle_alpha 90.00
_cell_angle_beta 112.96
_cell_angle_gamma 90.00
loop_
_atom_site_label
_atom_site_fract_x
_atom_site_fract_y
_atom_site_fract_z
Er1 0.000 0.000 0.000
Er2 0.059 0.375 0.805
Er3 0.133 0.125 0.587
Er4 0.198 0.500 0.361
Er5 0.353 0.198 0.182
Fe1 0.351 0.000 0.998
Pd1 0.341 0.309 0.683
```


(4)
Diffraction record for K2TaAuSe4. The X-ray powder pattern is calculated, not measured: it uses a crystal structure in Alexandria, relaxed with PBE and Cu Kα.

Principal peaks in the range 2θ = 10–80°, in order of rising 2θ:
d 6.175, 14.34 deg, I 58, hkl 0 0 4; d 6.050, 14.64 deg, I 100, hkl 0 2 2; d 3.541, 25.15 deg, I 32, hkl 0 2 6; d 3.339, 26.69 deg, I 17, hkl 1 3 3; d 2.937, 30.43 deg, I 17, hkl 1 3 5; d 2.502, 35.90 deg, I 22, hkl 2 2 4; d 2.412, 37.27 deg, I 28, hkl 2 0 6; d 2.307, 39.05 deg, I 21, hkl 0 4 8; d 2.223, 40.59 deg, I 31, hkl 2 4 2; d 1.901, 47.85 deg, I 16, hkl 2 0 10

Atomic structure:
```
data_K2TaAuSe4
_chemical_formula_sum 'K16 Ta8 Au8 Se32'
_symmetry_space_group_name_H-M 'F d d d'
_symmetry_Int_Tables_number 70
_cell_length_a 5.955
_cell_length_b 13.880
_cell_length_c 24.699
_cell_angle_alpha 90.00
_cell_angle_beta 90.00
_cell_angle_gamma 90.00
loop_
_symmetry_equiv_pos_as_xyz
'x,y,z'
'-x,-y,-z'
'-x+1/4,-y+1/4,z'
'x+1/4,y+1/4,-z'
'x,-y+1/4,-z+1/4'
'-x,y+1/4,z+1/4'
'-x+1/4,y,-z+1/4'
'x+1/4,-y,z+1/4'
'x,y+1/2,z+1/2'
'-x,-y+1/2,-z+1/2'
'-x+1/4,-y+3/4,z+1/2'
'x+1/4,y+3/4,-z+1/2'
'x,-y+3/4,-z+3/4'
'-x,y+3/4,z+3/4'
'-x+1/4,y+1/2,-z+3/4'
'x+1/4,-y+1/2,z+3/4'
'x+1/2,y,z+1/2'
'-x+1/2,-y,-z+1/2'
'-x+3/4,-y+1/4,z+1/2'
'x+3/4,y+1/4,-z+1/2'
'x+1/2,-y+1/4,-z+3/4'
'-x+1/2,y+1/4,z+3/4'
'-x+3/4,y,-z+3/4'
'x+3/4,-y,z+3/4'
'x+1/2,y+1/2,z'
'-x+1/2,-y+1/2,-z'
'-x+3/4,-y+3/4,z'
'x+3/4,y+3/4,-z'
'x+1/2,-y+3/4,-z+1/4'
'-x+1/2,y+3/4,z+1/4'
'-x+3/4,y+1/2,-z+1/4'
'x+3/4,-y+1/2,z+1/4'
loop_
_atom_site_label
_atom_site_fract_x
_atom_site_fract_y
_atom_site_fract_z
K1 0.125 0.125 0.308
Ta1 0.125 0.125 0.625
Au1 0.125 0.125 0.125
Se1 0.098 0.270 0.816
```


(5)
Diffraction record for Cs3PuZn2O6. The X-ray powder pattern is calculated, not measured: it uses a crystal structure in Alexandria, relaxed with PBE and Cu Kα.

Principal peaks in the range 2θ = 10–80°, in order of rising 2θ:
d 7.720, 11.46 deg, I 23, hkl 0 0 1; d 5.423, 16.35 deg, I 22, hkl 1 0 0; d 4.438, 20.01 deg, I 12, hkl 0 1 1; d 3.145, 28.38 deg, I 100, hkl 1 0 2; d 3.131, 28.51 deg, I 93, hkl 1 1 0; d 2.219, 40.66 deg, I 41, hkl 0 2 2; d 1.809, 50.43 deg, I 62, hkl 3 0 0; d 1.643, 55.97 deg, I 17, hkl 1 1 4; d 1.565, 59.00 deg, I 16, hkl 2 2 0; d 1.401, 66.75 deg, I 18, hkl 1 3 2

Atomic structure:
```
data_Cs3PuZn2O6
_chemical_formula_sum 'Cs3 Pu1 Zn2 O6'
_symmetry_space_group_name_H-M 'P -3 m 1'
_symmetry_Int_Tables_number 164
_symmetry_space_group_name_Hall '-P 3 2"'
_cell_length_a 6.2619
_cell_length_b 6.2619
_cell_length_c 7.7201
_cell_angle_alpha 90.00
_cell_angle_beta 90.00
_cell_angle_gamma 120.00
loop_
_atom_site_label
_atom_site_fract_x
_atom_site_fract_y
_atom_site_fract_z
Cs1 0.0000 0.0000 0.0000
Cs2 0.3333 0.6667 0.7523
Pu1 0.0000 0.0000 0.5000
Zn1 0.3333 0.6667 0.3325
O1 0.1588 0.3176 0.3292
```


(6)
Diffraction record for LaPm3Cd3. The X-ray powder pattern is calculated, not measured: it uses a crystal structure in Alexandria, relaxed with PBE and Cu Kα.

Principal peaks in the range 2θ = 10–80°, in order of rising 2θ:
d 3.858, 23.05 deg, I 19, hkl 2 1 1; d 3.341, 26.68 deg, I 26, hkl 2 2 0; d 2.988, 29.90 deg, I 91, hkl 3 1 0; d 2.849, 31.40 deg, I 71, hkl 3 1 1; d 2.621, 34.21 deg, I 95, hkl 3 2 0; d 2.526, 35.55 deg, I 100, hkl 3 1 2; d 2.227, 40.50 deg, I 19, hkl 4 1 1; d 1.755, 52.12 deg, I 24, hkl 4 2 3; d 1.533, 60.38 deg, I 24, hkl 5 2 3; d 1.476, 62.98 deg, I 44, hkl 4 4 3

Atomic structure:
```
data_LaPm3Cd3
_chemical_formula_sum 'La4 Pm12 Cd12'
_symmetry_space_group_name_H-M 'P 21 3'
_symmetry_Int_Tables_number 198
_symmetry_space_group_name_Hall 'P 2ac 2ab 3'
_cell_length_a 9.450
_cell_length_b 9.450
_cell_length_c 9.450
_cell_angle_alpha 90.00
_cell_angle_beta 90.00
_cell_angle_gamma 90.00
loop_
_atom_site_label
_atom_site_fract_x
_atom_site_fract_y
_atom_site_fract_z
La1 0.046 0.454 0.546
Pm1 0.130 0.630 0.870
Pm2 0.154 0.154 0.154
Pm3 0.213 0.787 0.287
Cd1 0.017 0.821 0.596
```